This entry pairs a crystal structure of MnHgF with its theoretical PXRD pattern. Radiation: λ = 1.5418 Å (Cu Kα). Structure: a cell relaxed with GGA+U.

Structure:
Lattice parameters (Å, degrees): 5.8679 3.3832 11.1186 90.00 100.12 90.00
Space group C2/m (No. 12)
One atom of each set of equivalent atoms:
1 Mn 0.1031 0.0000 0.3116
2 Hg 0.1291 0.5000 0.8866
3 F 0.2009 0.0000 0.6011

Peak list (8 most intense, 5° ≤ 2θ ≤ 70°, sorted by position)
| 2θ/deg | I_rel | index |
| --- | --- | --- |
| 8.1 | 100 | 0 0 1 |
| 32.4 | 64 | 2 0 -2 |
| 32.7 | 15 | 0 0 4 |
| 36.1 | 29 | 1 1 2 |
| 37.7 | 32 | 1 1 -3 |
| 43.3 | 23 | 2 0 3 |
| 54.2 | 19 | 0 2 0 |
| 64.8 | 13 | 3 1 -5 |